For LaGaO3, the GGA-PBE geometry in the Materials Project gives the theoretical powder diffractogram in this record (a wavelength of 1.5418 Å).

The 12 most intense peaks (2θ from 15° to 90°), sorted by position:
hkl, 2θ/deg, d_spacing, I (rel.)
0 2 0, 22.61, 3.933, 11
0 0 2, 32.00, 2.797, 23
1 2 1, 32.20, 2.780, 100
2 0 0, 32.32, 2.770, 24
2 0 2, 46.12, 1.968, 29
0 4 0, 46.24, 1.963, 14
1 2 3, 57.16, 1.612, 22
0 4 2, 57.34, 1.607, 10
2 4 0, 57.56, 1.601, 30
2 4 2, 67.37, 1.390, 16
3 2 3, 76.56, 1.244, 9
1 6 1, 76.75, 1.242, 12

Cell and atoms:
Lattice parameters (Å, degrees): 5.540 7.853 5.594 90.00 90.00 90.00
Space group Imma (No. 74)
Asymmetric unit:
1 La 0.000 0.250 0.009 x4
2 Ga 0.000 0.000 0.500 x4
3 O 0.000 0.250 0.582 x4
4 O 0.250 0.045 0.250 x8